For SmAl2GaPd2, DFT lattice parameters and positions (GGA-PBE) gives the computed powder X-ray diffraction pattern in this record (a wavelength of 1.5418 Å).
Neutral-atom scattering factors, no anomalous dispersion.

Main lines, low angle first (2θ = 5–70°):
4.254 Å, 20.9 deg, intensity 376
2.719 Å, 32.9 deg, intensity 360
2.699 Å, 33.2 deg, intensity 308
2.291 Å, 39.3 deg, intensity 1000
2.279 Å, 39.5 deg, intensity 306
2.127 Å, 42.5 deg, intensity 253

Atomic structure:
```
SmAl2GaPd2
1.0
5.3979 0.0000 0.0000
0.0000 9.4401 0.0000
0.0000 0.0000 4.2535
Sm Al Ga Pd
2 4 2 4
Direct
0.0000 0.0000 0.0000
0.5000 0.5000 0.0000
0.2500 0.2500 0.5000
0.2500 0.7500 0.5000
0.7500 0.2500 0.5000
0.7500 0.7500 0.5000
0.0000 0.5000 0.5000
0.5000 0.0000 0.5000
0.0000 0.3294 0.0000
0.0000 0.6706 0.0000
0.5000 0.1706 0.0000
0.5000 0.8294 0.0000
```